CaEuNi4O12: calculated powder diffractogram (Cu Kα (weighted mean of Kα1 and Kα2)), based on the PBE+U geometry in Alexandria.
Lines closer than 0.1° are merged.

The 8 most intense peaks (5° ≤ 2θ ≤ 70°), by angle:
2theta	Rel. int.	hkl
11.6	234	0 0 1
20.3	878	1 0 1
33.4	1000	1 1 2
33.6	495	2 0 0
39.6	314	2 1 1
47.8	236	0 0 4
48.2	461	2 2 0
59.9	370	3 1 2

Crystal structure
Unit cell a=5.339 b=5.339 c=7.614 alpha=90.00 beta=90.00 gamma=90.00
Space group P4/mmm (No. 123)
One atom of each set of equivalent atoms:
Ca 0.000 0.000 0.000
Eu 0.500 0.500 0.500
Ni 0.000 0.500 0.248
O 0.000 0.500 0.000
O 0.000 0.500 0.500
O 0.254 0.254 0.256